Record 1
The following is a calculated powder diffraction line list of Li3V2F12. It was derived from a DFT-relaxed cell (GGA+U, the Materials Project), using Cu Kα X-rays.
Peak positions follow from Bragg's law for the DFT cell and can differ from measured ones.

Most intense lines, 2θ = 10–80°, most intense first:
d [Å]  2theta  Rel. int.
4.261  20.8  100
4.371  20.3  92
4.421  20.1  58
2.240  40.3  36
3.546  25.1  34
2.267  39.8  31
3.447  25.8  26
1.771  51.6  26
2.718  33.0  18
1.457  63.9  16

Atomic structure:
a b c (Å): 5.030 8.842 9.728
angles (deg): 90.00 91.63 90.00
Fractional coordinates of all 34 atoms:
Li1 0.000 0.107 0.000
Li2 0.000 0.893 0.500
Li3 0.481 0.350 0.226
Li4 0.481 0.650 0.726
Li5 0.966 0.185 0.711
Li6 0.966 0.815 0.211
V1 0.487 0.006 0.241
V2 0.487 0.994 0.741
V3 0.982 0.493 0.977
V4 0.982 0.507 0.477
F1 0.099 0.327 0.883
F2 0.099 0.673 0.383
F3 0.162 0.385 0.365
F4 0.162 0.615 0.865
F5 0.198 0.006 0.859
F6 0.198 0.994 0.359
F7 0.272 0.481 0.092
F8 0.272 0.519 0.592
F9 0.305 0.155 0.129
F10 0.305 0.845 0.629
F11 0.321 0.148 0.646
F12 0.321 0.852 0.146
F13 0.632 0.174 0.325
F14 0.632 0.826 0.825
F15 0.694 0.497 0.360
F16 0.694 0.503 0.860
F17 0.695 0.131 0.850
F18 0.695 0.869 0.350
F19 0.782 0.009 0.620
F20 0.782 0.991 0.120
F21 0.807 0.361 0.087
F22 0.807 0.639 0.587
F23 0.859 0.352 0.577
F24 0.859 0.648 0.077

Record 2
The following is a calculated powder diffraction line list of Ti3Mn2CoP6O24. It was derived from a DFT-relaxed cell (GGA+U, the Materials Project), using Cu Kα X-rays.
Peak positions follow from Bragg's law for the DFT cell and can differ from measured ones.

Most intense lines, 2θ = 10–80°, most intense first:
d [Å]  2theta  Rel. int.
3.693  24.1  100
4.331  20.5  76
2.738  32.7  72
1.637  56.2  34
2.500  35.9  32
1.846  49.4  27
1.936  46.9  26
1.485  62.5  23
2.810  31.8  16
3.536  25.2  14

Atomic structure:
a b c (Å): 8.657 8.657 8.657
angles (deg): 60.04 60.04 60.04
Fractional coordinates of all 36 atoms:
Ti1 0.000 0.000 0.000
Ti2 0.210 0.210 0.210
Ti3 0.503 0.503 0.503
Mn1 0.356 0.356 0.356
Mn2 0.852 0.852 0.852
Co1 0.712 0.712 0.712
P1 0.106 0.813 0.398
P2 0.315 0.608 0.900
P3 0.398 0.106 0.813
P4 0.608 0.900 0.315
P5 0.813 0.398 0.106
P6 0.900 0.315 0.608
O1 0.050 0.856 0.234
O2 0.092 0.292 0.440
O3 0.119 0.770 0.915
O4 0.170 0.975 0.350
O5 0.234 0.050 0.856
O6 0.273 0.621 0.410
O7 0.292 0.440 0.092
O8 0.350 0.170 0.975
O9 0.356 0.549 0.735
O10 0.410 0.273 0.621
O11 0.440 0.092 0.292
O12 0.470 0.662 0.869
O13 0.549 0.735 0.356
O14 0.589 0.947 0.802
O15 0.621 0.410 0.273
O16 0.662 0.869 0.470
O17 0.735 0.356 0.549
O18 0.770 0.915 0.119
O19 0.802 0.589 0.947
O20 0.856 0.234 0.050
O21 0.869 0.470 0.662
O22 0.915 0.119 0.770
O23 0.947 0.802 0.589
O24 0.975 0.350 0.170

Record 3
The following is a calculated powder diffraction line list of V3O2F6. It was derived from a DFT-relaxed cell (GGA+U, the Materials Project), using Cu Kα X-rays.
Peak positions follow from Bragg's law for the DFT cell and can differ from measured ones.

Most intense lines, 2θ = 10–80°, most intense first:
d [Å]  2theta  Rel. int.
3.322  26.8  100
2.275  39.6  30
5.497  16.1  28
1.661  55.3  25
4.313  20.6  22
2.242  40.2  21
5.187  17.1  20
2.583  34.7  20
1.734  52.8  16
1.744  52.5  16

Atomic structure:
a b c (Å): 5.529 4.742 10.435
angles (deg): 90.00 96.15 90.00
Fractional coordinates of all 22 atoms:
V1 0.000 0.000 0.000
V2 0.000 0.500 0.500
V3 0.230 0.017 0.744
V4 0.230 0.483 0.244
V5 0.770 0.517 0.756
V6 0.770 0.983 0.256
O1 0.022 0.201 0.176
O2 0.022 0.299 0.676
O3 0.978 0.701 0.324
O4 0.978 0.799 0.824
F1 0.203 0.694 0.080
F2 0.203 0.806 0.580
F3 0.272 0.175 0.920
F4 0.272 0.325 0.420
F5 0.477 0.732 0.805
F6 0.477 0.768 0.305
F7 0.523 0.232 0.695
F8 0.523 0.268 0.195
F9 0.728 0.675 0.580
F10 0.728 0.825 0.080
F11 0.797 0.194 0.420
F12 0.797 0.306 0.920

Record 4
The following is a calculated powder diffraction line list of P2WO8. It was derived from a DFT-relaxed cell (GGA+U, the Materials Project), using Cu Kα X-rays.
Peak positions follow from Bragg's law for the DFT cell and can differ from measured ones.

Most intense lines, 2θ = 10–80°, most intense first:
d [Å]  2theta  Rel. int.
4.987  17.8  100
3.841  23.2  99
2.677  33.5  50
7.912  11.2  40
3.625  24.6  39
5.021  17.7  26
3.522  25.3  24
2.926  30.6  22
4.378  20.3  19
1.634  56.3  17

Atomic structure:
a b c (Å): 5.256 11.126 11.254
angles (deg): 90.00 90.00 90.00
Fractional coordinates of all 44 atoms:
P1 0.245 0.096 0.461
P2 0.250 0.139 0.844
P3 0.250 0.861 0.344
P4 0.255 0.904 0.961
P5 0.745 0.404 0.539
P6 0.750 0.361 0.156
P7 0.750 0.639 0.656
P8 0.755 0.596 0.039
W1 0.250 0.401 0.341
W2 0.250 0.599 0.841
W3 0.750 0.099 0.659
W4 0.750 0.901 0.159
O1 0.001 0.064 0.530
O2 0.006 0.837 0.267
O3 0.021 0.933 0.039
O4 0.027 0.164 0.753
O5 0.232 0.196 0.960
O6 0.245 0.455 0.784
O7 0.245 0.991 0.850
O8 0.246 0.223 0.416
O9 0.254 0.777 0.916
O10 0.255 0.009 0.350
O11 0.255 0.545 0.284
O12 0.268 0.804 0.460
O13 0.473 0.836 0.253
O14 0.479 0.067 0.539
O15 0.494 0.163 0.767
O16 0.499 0.936 0.030
O17 0.501 0.436 0.470
O18 0.506 0.663 0.733
O19 0.521 0.567 0.961
O20 0.527 0.336 0.247
O21 0.732 0.304 0.040
O22 0.745 0.045 0.216
O23 0.745 0.509 0.150
O24 0.746 0.277 0.584
O25 0.754 0.723 0.084
O26 0.755 0.491 0.650
O27 0.755 0.955 0.716
O28 0.768 0.696 0.540
O29 0.973 0.664 0.747
O30 0.979 0.433 0.461
O31 0.994 0.337 0.233
O32 0.999 0.564 0.970